Calculated PXRD pattern
Compound: RbNbO3
Radiation: CuKα
Structure: the GGA-PBE geometry in the Materials Project

Structure:
Unit cell a=4.0989 b=4.0989 c=4.0989 alpha=90.00 beta=90.00 gamma=90.00
Sites, in units of the cell vectors:
Rb  0.0000  0.0000  0.0000
Nb  0.5000  0.5000  0.5000
O  0.0000  0.5000  0.5000
O  0.5000  0.0000  0.5000
O  0.5000  0.5000  0.0000

Principal peaks in the range 2θ = 10–90°, by angle:
2θ = 21.68°, I 4
2θ = 30.85°, I 100
2θ = 38.02°, I 2
2θ = 44.19°, I 35
2θ = 49.74°, I 1
2θ = 54.87°, I 39
2θ = 64.28°, I 21
2θ = 72.99°, I 17
2θ = 81.31°, I 7
2θ = 89.46°, I 21



Calculated PXRD pattern
Compound: RbNbO3
Radiation: CuKα
Structure: the GGA-PBE geometry in the Materials Project

Structure:
Unit cell a=6.5262 b=6.5262 c=8.3320 alpha=93.40 beta=93.40 gamma=82.93
Sites, in units of the cell vectors:
Rb  0.2341  0.7659  0.0000
Rb  0.3375  0.3375  0.2638
Rb  0.6625  0.6625  0.7362
Rb  0.7659  0.2341  0.0000
Nb  0.1894  0.8106  0.5000
Nb  0.2583  0.2583  0.6960
Nb  0.7417  0.7417  0.3040
Nb  0.8106  0.1894  0.5000
O  0.0483  0.7129  0.2888
O  0.1227  0.1227  0.4477
O  0.2266  0.5472  0.6023
O  0.2871  0.9517  0.7112
O  0.3286  0.3286  0.9075
O  0.4528  0.7734  0.3977
O  0.5472  0.2266  0.6023
O  0.6714  0.6714  0.0925
O  0.7129  0.0483  0.2888
O  0.7734  0.4528  0.3977
O  0.8773  0.8773  0.5523
O  0.9517  0.2871  0.7112

Principal peaks in the range 2θ = 10–90°, by angle:
2θ = 10.65°, I 41
2θ = 16.93°, I 20
2θ = 24.86°, I 23
2θ = 27.08°, I 47
2θ = 27.58°, I 100
2θ = 29.34°, I 63
2θ = 29.84°, I 71
2θ = 32.39°, I 23
2θ = 42.78°, I 16
2θ = 46.43°, I 29



Calculated PXRD pattern
Compound: Rb4Nb2Si8O23
Radiation: CuKα
Structure: the GGA-PBE geometry in the Materials Project

Structure:
Unit cell a=6.9971 b=7.9265 c=11.1828 alpha=76.35 beta=89.17 gamma=71.58
Sites, in units of the cell vectors:
Rb  0.1819  0.2807  0.3555
Rb  0.2103  0.2202  0.0099
Rb  0.7897  0.7798  0.9901
Rb  0.8181  0.7193  0.6445
Nb  0.2860  0.7413  0.8168
Nb  0.7140  0.2587  0.1832
Si  0.0020  0.1941  0.6992
Si  0.3330  0.6725  0.1308
Si  0.3434  0.7016  0.5009
Si  0.4485  0.1326  0.7144
Si  0.5515  0.8674  0.2856
Si  0.6566  0.2984  0.4991
Si  0.6670  0.3275  0.8692
Si  0.9980  0.8059  0.3008
O  0.0444  0.9779  0.7546
O  0.1231  0.7246  0.4369
O  0.1238  0.6877  0.2056
O  0.1255  0.6009  0.8523
O  0.2079  0.2505  0.6747
O  0.2796  0.7914  0.9893
O  0.3171  0.7319  0.6369
O  0.4324  0.8555  0.4148
O  0.4435  0.4557  0.1417
O  0.4723  0.7597  0.1985
O  0.4810  0.9242  0.7828
O  0.5000  0.5000  0.5000
O  0.5190  0.0758  0.2172
O  0.5277  0.2403  0.8015
O  0.5565  0.5443  0.8583
O  0.5676  0.1445  0.5852
O  0.6829  0.2681  0.3631
O  0.7204  0.2086  0.0107
O  0.7921  0.7495  0.3253
O  0.8745  0.3991  0.1477
O  0.8762  0.3123  0.7944
O  0.8769  0.2754  0.5631
O  0.9556  0.0221  0.2454

Principal peaks in the range 2θ = 10–90°, by angle:
2θ = 24.41°, I 100
2θ = 26.99°, I 84
2θ = 27.35°, I 48
2θ = 29.28°, I 29
2θ = 29.98°, I 26
2θ = 30.05°, I 34
2θ = 30.70°, I 44
2θ = 33.11°, I 18
2θ = 35.37°, I 36
2θ = 40.74°, I 16